# 1
Y10Ga3Sb3: simulated PXRD pattern (Cu Ka), based on DFT lattice parameters and positions (PBE).
Lines closer than 0.1° are merged.

Main lines, in order of rising 2θ (2θ from 10° to 90°):
Position (°2θ)	d_spacing	Rel. int.
27.38	3.258	21.9
31.10	2.876	28.3
34.08	2.631	100.0
34.27	2.617	75.0
35.39	2.536	37.3
50.09	1.821	15.5
52.82	1.733	28.0
68.00	1.379	18.0

```
16
Lattice="8.785 0.000 0.000 -4.393 7.608 0.000 0.000 0.000 6.516" Properties=species:S:1:pos:R:3 pbc="T T T"
Y -1.052 1.823 0.000
Y -3.344 5.792 3.258
Y 1.048 1.816 3.258
Y 2.105 0.000 0.000
Y 0.000 5.072 1.571
Y 0.000 5.072 4.945
Y 4.393 2.536 1.571
Y 4.393 2.536 4.945
Y 3.340 5.786 0.000
Y 6.688 0.000 3.258
Ga -2.662 4.611 0.000
Ga 1.731 2.997 0.000
Ga 5.324 0.000 0.000
Sb -1.744 3.021 3.258
Sb 3.488 0.000 3.258
Sb 2.649 4.588 3.258
```

***

# 2
ZnGa2Sb: simulated PXRD pattern (Cu Ka), based on DFT lattice parameters and positions (PBE).
Lines closer than 0.1° are merged.

Main lines, in order of rising 2θ (2θ from 10° to 90°):
Position (°2θ)	d_spacing	Rel. int.
35.52	2.527	100.0
40.97	2.203	33.4
41.79	2.162	15.8
59.33	1.558	10.9
59.96	1.543	21.0
71.10	1.326	24.8
72.23	1.308	11.8
75.19	1.264	10.5

```
4
Lattice="4.405 0.000 0.000 0.000 4.405 0.000 0.000 0.000 4.323" Properties=species:S:1:pos:R:3 pbc="T T T"
Zn 0.000 0.000 0.000
Ga 0.000 2.203 2.162
Ga 2.203 0.000 2.162
Sb 2.203 2.203 0.000
```

***

# 3
Sc3Ga2: simulated PXRD pattern (Cu Ka), based on DFT lattice parameters and positions (PBE).
Lines closer than 0.1° are merged.

Main lines, in order of rising 2θ (2θ from 10° to 90°):
Position (°2θ)	d_spacing	Rel. int.
34.74	2.582	81.1
35.15	2.553	26.1
35.54	2.526	32.3
36.71	2.448	100.0
37.11	2.423	46.9
39.36	2.289	37.5
47.47	1.915	20.7
71.86	1.314	19.1

```
40
Lattice="-5.415 5.415 7.001 5.415 -5.415 7.001 5.415 5.415 -7.001" Properties=species:S:1:pos:R:3 pbc="T T T"
Sc 6.133 -3.205 5.097
Sc 2.210 -0.717 1.903
Sc 5.415 0.000 2.057
Sc 6.133 3.205 -1.903
Sc 3.573 1.842 0.000
Sc 8.620 0.717 1.903
Sc 3.205 4.698 -1.903
Sc 3.573 -1.842 7.001
Sc 0.717 2.210 1.903
Sc 5.415 0.000 4.943
Sc 2.210 0.717 5.097
Sc 6.133 3.205 1.903
Sc -0.717 2.210 5.097
Sc 3.205 4.698 1.903
Sc 0.000 5.415 2.057
Sc 4.698 3.205 5.097
Sc 1.842 7.258 0.000
Sc 2.210 0.717 8.904
Sc -3.205 4.698 5.097
Sc 1.842 3.573 7.001
Sc -0.717 2.210 8.904
Sc 0.000 5.415 4.943
Sc 3.205 6.133 5.097
Sc -0.717 8.620 1.903
Ga 0.000 0.000 0.000
Ga 7.325 -1.910 2.795
Ga 6.693 1.278 0.000
Ga 3.505 -1.910 4.205
Ga 0.000 0.000 3.500
Ga 3.505 1.910 2.795
Ga 1.278 4.137 0.000
Ga 7.325 1.910 4.205
Ga 0.000 0.000 7.001
Ga -1.910 3.505 2.795
Ga 4.137 1.278 7.001
Ga 1.910 3.505 4.205
Ga 0.000 0.000 10.501
Ga 1.910 7.325 2.795
Ga -1.278 4.137 7.001
Ga -1.910 7.325 4.205
```

***

# 4
ScGa4: simulated PXRD pattern (Cu Ka), based on DFT lattice parameters and positions (PBE).
Lines closer than 0.1° are merged.

Main lines, in order of rising 2θ (2θ from 10° to 90°):
Position (°2θ)	d_spacing	Rel. int.
37.33	2.409	88.1
38.51	2.338	100.0
39.61	2.275	35.7
42.63	2.121	37.4
49.51	1.841	28.2
59.59	1.551	20.5
67.36	1.390	14.5
75.43	1.260	24.9

```
10
Lattice="-2.121 2.993 7.003 2.121 -2.993 7.003 2.121 2.993 -7.003" Properties=species:S:1:pos:R:3 pbc="T T T"
Sc 0.000 1.496 1.407
Sc 2.121 1.496 5.596
Ga 2.121 0.000 0.000
Ga 2.121 -1.496 5.495
Ga 2.121 -0.061 2.757
Ga 2.121 2.931 -2.757
Ga 0.000 0.000 7.003
Ga 0.000 0.061 9.760
Ga 0.000 3.054 4.246
Ga 0.000 4.489 1.508
```